(1)
Diffraction record for BAuO3. The PXRD pattern is simulated, not measured: it uses a DFT-relaxed cell (GGA-PBE, the Materials Project) and Cu Kα (weighted mean of Kα1 and Kα2).

```
BAuO3
1.0
3.497 0.000 0.000
0.000 3.497 0.000
0.000 0.000 3.497
B Au O
1 1 3
Cartesian
0.000 0.000 0.000 B
1.748 1.748 1.748 Au
0.000 0.000 1.748 O
0.000 1.748 0.000 O
1.748 0.000 0.000 O
```

Peak list (8 most intense, 2θ = 10–90°, sorted by position)
two_theta, d (Å), Rel. int.
25.5, 3.497, 100
36.3, 2.473, 100
44.9, 2.019, 58
52.3, 1.748, 30
59.1, 1.564, 44
65.4, 1.428, 38
77.2, 1.236, 19
82.8, 1.166, 23

***

(2)
Diffraction record for TlPd3. The PXRD pattern is simulated, not measured: it uses a DFT-relaxed cell (GGA-PBE, the Materials Project) and Cu Kα (weighted mean of Kα1 and Kα2).

```
TlPd3
1.0
4.092 0.000 0.000
0.000 4.092 0.000
0.000 0.000 4.092
Tl Pd
1 3
Cartesian
0.000 0.000 0.000 Tl
0.000 2.046 2.046 Pd
2.046 0.000 2.046 Pd
2.046 2.046 0.000 Pd
```

Peak list (8 most intense, 2θ = 10–90°, sorted by position)
two_theta, d (Å), Rel. int.
21.7, 4.092, 9
30.9, 2.893, 8
38.1, 2.362, 100
44.3, 2.046, 49
49.8, 1.830, 4
64.4, 1.447, 32
77.4, 1.234, 37
81.5, 1.181, 11

***

(3)
Diffraction record for Mg6MnAl. The PXRD pattern is simulated, not measured: it uses a DFT-relaxed cell (GGA-PBE, the Materials Project) and Cu Kα (weighted mean of Kα1 and Kα2).

```
Mg6MnAl
1.0
4.873 0.000 0.000
0.000 6.244 0.000
0.000 0.000 10.740
Mg Mn Al
12 2 2
Cartesian
0.000 0.000 0.000 Mg
0.000 1.512 2.730 Mg
0.000 1.609 8.100 Mg
0.000 3.122 5.370 Mg
0.000 4.634 8.100 Mg
0.000 4.731 2.730 Mg
2.437 0.000 8.956 Mg
2.437 1.534 6.256 Mg
2.437 1.588 0.885 Mg
2.437 3.122 3.586 Mg
2.437 4.656 0.885 Mg
2.437 4.710 6.256 Mg
2.437 0.000 3.672 Mn
2.437 3.122 9.042 Mn
0.000 0.000 5.265 Al
0.000 3.122 10.635 Al
```

Peak list (8 most intense, 2θ = 10–90°, sorted by position)
two_theta, d (Å), Rel. int.
16.5, 5.388, 20
33.2, 2.699, 29
36.9, 2.437, 38
38.1, 2.361, 100
38.3, 2.352, 53
59.5, 1.553, 17
67.3, 1.392, 17
72.1, 1.310, 18

***

(4)
Diffraction record for Tb2Cl3. The PXRD pattern is simulated, not measured: it uses a DFT-relaxed cell (GGA-PBE, the Materials Project) and Cu Kα (weighted mean of Kα1 and Kα2).

```
Tb2Cl3
1.0
7.854 -1.944 0.000
7.854 1.944 0.000
-5.065 0.000 9.036
Tb Cl
4 6
Cartesian
-0.931 0.000 4.070 Tb
4.631 0.000 1.889 Tb
6.012 0.000 7.147 Tb
11.574 0.000 4.966 Tb
2.490 0.000 0.067 Cl
2.387 0.000 3.460 Cl
3.293 0.000 6.890 Cl
7.350 0.000 2.146 Cl
8.255 0.000 5.576 Cl
8.152 0.000 8.969 Cl
```

Peak list (8 most intense, 2θ = 10–90°, sorted by position)
two_theta, d (Å), Rel. int.
11.8, 7.505, 99
27.0, 3.304, 100
28.9, 3.091, 53
33.1, 2.709, 53
35.3, 2.542, 32
35.5, 2.527, 38
37.0, 2.430, 45
45.4, 1.996, 30

***

(5)
Diffraction record for La2ZrCuO6. The PXRD pattern is simulated, not measured: it uses a DFT-relaxed cell (GGA-PBE, the Materials Project) and Cu Kα (weighted mean of Kα1 and Kα2).

```
La2ZrCuO6
1.0
7.904 0.000 0.000
0.000 7.922 0.000
-0.326 0.000 8.686
La Zr Cu O
8 4 4 24
Cartesian
1.529 1.981 2.091 La
1.563 1.981 7.008 La
2.172 5.942 1.787 La
2.000 5.942 6.701 La
5.578 1.981 1.985 La
5.406 1.981 6.898 La
6.016 5.942 1.677 La
6.049 5.942 6.595 La
-0.163 0.000 4.343 Zr
-0.163 3.961 4.343 Zr
3.789 0.000 4.343 Zr
3.789 3.961 4.343 Zr
0.000 0.000 0.000 Cu
0.000 3.961 0.000 Cu
3.952 0.000 0.000 Cu
3.952 3.961 0.000 Cu
0.216 5.942 0.274 O
0.219 4.411 6.360 O
0.219 7.473 6.360 O
0.503 1.981 4.658 O
1.823 4.385 3.673 O
1.823 7.498 3.673 O
1.957 0.252 0.407 O
1.957 3.709 0.407 O
3.192 0.421 6.316 O
3.192 3.540 6.316 O
3.587 1.981 3.578 O
3.409 5.942 8.592 O
4.169 1.981 0.094 O
3.991 5.942 5.107 O
4.387 4.383 2.370 O
4.387 7.501 2.370 O
5.622 4.214 8.278 O
5.622 7.670 8.278 O
5.755 0.424 5.012 O
5.755 3.537 5.012 O
7.075 5.942 4.027 O
7.359 0.450 2.326 O
7.359 3.511 2.326 O
7.362 1.981 8.412 O
```

Peak list (8 most intense, 2θ = 10–90°, sorted by position)
two_theta, d (Å), Rel. int.
30.0, 2.978, 46
30.5, 2.927, 100
31.2, 2.869, 45
32.0, 2.797, 88
41.6, 2.171, 21
45.8, 1.981, 27
46.0, 1.975, 24
56.5, 1.630, 19